No. 1
The following is a calculated X-ray diffraction stick pattern of CsLiUN3. It was derived from a PBE-relaxed structure, using Cu Kα (weighted mean of Kα1 and Kα2).
Peak positions follow from Bragg's law for the DFT cell and can differ from measured ones.

The 6 most intense peaks (2θ = 10–90°), sorted by position:
Position (°2θ), intensity
16.38, 98
21.20, 43
28.38, 41
28.92, 40
31.34, 100
40.96, 40

Structure:
Lattice parameters (Å, degrees): 6.411 6.411 6.290 90.00 90.00 122.42
Positions (direct):
Cs 0.230 0.770 0.750
Cs 0.770 0.230 0.250
Li 0.077 0.923 0.250
Li 0.923 0.077 0.750
U 0.445 0.555 0.250
U 0.555 0.445 0.750
N 0.271 0.729 0.250
N 0.283 0.283 0.000
N 0.283 0.283 0.500
N 0.717 0.717 0.000
N 0.717 0.717 0.500
N 0.729 0.271 0.750



No. 2
The following is a calculated X-ray diffraction stick pattern of Hf4Al3Au. It was derived from a PBE-relaxed structure, using Cu Kα (weighted mean of Kα1 and Kα2).
Peak positions follow from Bragg's law for the DFT cell and can differ from measured ones.

The 6 most intense peaks (2θ = 10–90°), sorted by position:
Position (°2θ), intensity
26.43, 33
35.43, 100
36.78, 51
39.00, 53
42.28, 27
57.26, 29

Structure:
Lattice parameters (Å, degrees): 3.283 4.275 10.980 90.00 90.00 90.00
Positions (direct):
Hf 0.000 0.000 0.000
Hf 0.000 0.500 0.326
Hf 0.500 0.000 0.493
Hf 0.500 0.500 0.830
Al 0.000 0.500 0.590
Al 0.500 0.000 0.233
Al 0.500 0.500 0.091
Au 0.000 0.000 0.732



No. 3
The following is a calculated X-ray diffraction stick pattern of Sr2Tl3. It was derived from a PBE-relaxed structure, using Cu Kα (weighted mean of Kα1 and Kα2).
Peak positions follow from Bragg's law for the DFT cell and can differ from measured ones.

The 6 most intense peaks (2θ = 10–90°), sorted by position:
Position (°2θ), intensity
17.87, 76
28.18, 66
32.89, 100
33.28, 60
33.89, 77
36.20, 48

Structure:
Lattice parameters (Å, degrees): 6.767 6.767 9.065 90.00 90.00 122.46
Positions (direct):
Sr 0.147 0.853 0.898
Sr 0.353 0.647 0.398
Sr 0.647 0.353 0.602
Sr 0.853 0.147 0.102
Tl 0.000 0.000 0.500
Tl 0.127 0.373 0.750
Tl 0.373 0.127 0.250
Tl 0.500 0.500 0.000
Tl 0.627 0.873 0.750
Tl 0.873 0.627 0.250



No. 4
The following is a calculated X-ray diffraction stick pattern of Tl2OsCl5O. It was derived from a PBE-relaxed structure, using Cu Kα (weighted mean of Kα1 and Kα2).
Peak positions follow from Bragg's law for the DFT cell and can differ from measured ones.

The 6 most intense peaks (2θ = 10–90°), sorted by position:
Position (°2θ), intensity
15.48, 51
24.71, 47
25.75, 100
31.25, 36
35.22, 47
44.14, 48

Structure:
Lattice parameters (Å, degrees): 6.941 6.941 6.941 117.45 117.45 94.48
Positions (direct):
Tl 0.000 0.500 0.500
Tl 0.500 0.000 0.500
Os 0.239 0.239 0.000
Cl 0.019 0.019 0.534
Cl 0.019 0.485 0.000
Cl 0.485 0.019 0.000
Cl 0.485 0.485 0.466
Cl 0.494 0.494 0.000
O 0.053 0.053 0.000